Starting from a GGA-PBE-relaxed structure, the powder diffractogram of NpH6PdRh was computed for Cu Kα, 1.54184 Å.
Intensities are scaled so that the largest is 100.

```
NpH6PdRh
1.0
4.7246 0.0000 0.0000
-2.3623 4.0916 0.0000
0.0000 0.0000 4.1563
Np H Pd Rh
1 6 1 1
Direct
0.0000 0.0000 0.0000 Np
0.5081 0.0163 0.2204 H
0.5081 0.0163 0.7796 H
0.5081 0.4919 0.2204 H
0.5081 0.4919 0.7796 H
0.9837 0.4919 0.2204 H
0.9837 0.4919 0.7796 H
0.3333 0.6667 0.5000 Pd
0.6667 0.3333 0.5000 Rh
```

Largest 12 diffraction maxima, sorted by position, 15 to 90 degrees two-theta:
4.092 Å, 2θ = 21.72°, rel. 14; 2.916 Å, 2θ = 30.66°, rel. 100; 2.362 Å, 2θ = 38.09°, rel. 48; 2.078 Å, 2θ = 43.55°, rel. 11; 1.835 Å, 2θ = 49.67°, rel. 27; 1.560 Å, 2θ = 59.22°, rel. 27; 1.449 Å, 2θ = 64.27°, rel. 25; 1.364 Å, 2θ = 68.84°, rel. 9; 1.312 Å, 2θ = 71.96°, rel. 9; 1.147 Å, 2θ = 84.45°, rel. 6; 1.140 Å, 2θ = 85.08°, rel. 10; 1.095 Å, 2θ = 89.53°, rel. 11

=====

Starting from a GGA-PBE-relaxed structure, the powder diffractogram of NpH12Pd4Rh3 was computed for Cu Kα, 1.54184 Å.
Intensities are scaled so that the largest is 100.

```
NpH12Pd4Rh3
1.0
4.2616 2.4605 2.8722
-4.2616 2.4605 2.8722
0.0000 -4.9209 2.8722
Np H Pd Rh
1 12 4 3
Direct
0.0000 0.0000 0.0000 Np
0.0597 0.9403 0.5000 H
0.0784 0.3400 0.3922 H
0.2981 0.7019 0.5000 H
0.3400 0.3922 0.0784 H
0.3922 0.0784 0.3400 H
0.5000 0.0597 0.9403 H
0.5000 0.2981 0.7019 H
0.6078 0.6600 0.9216 H
0.6600 0.9216 0.6078 H
0.7019 0.5000 0.2981 H
0.9216 0.6078 0.6600 H
0.9403 0.5000 0.0597 H
0.1459 0.5000 0.8541 Pd
0.5000 0.5000 0.5000 Pd
0.5000 0.8541 0.1459 Pd
0.8541 0.1459 0.5000 Pd
0.0000 0.6199 0.3801 Rh
0.3801 0.0000 0.6199 Rh
0.6199 0.3801 0.0000 Rh
```

Largest 12 diffraction maxima, sorted by position, 15 to 90 degrees two-theta:
3.721 Å, 2θ = 23.92°, rel. 26; 2.803 Å, 2θ = 31.93°, rel. 49; 2.654 Å, 2θ = 33.77°, rel. 14; 2.460 Å, 2θ = 36.52°, rel. 100; 2.382 Å, 2θ = 37.77°, rel. 68; 2.342 Å, 2θ = 38.44°, rel. 27; 1.860 Å, 2θ = 48.96°, rel. 15; 1.711 Å, 2θ = 53.55°, rel. 21; 1.576 Å, 2θ = 58.57°, rel. 22; 1.405 Å, 2θ = 66.56°, rel. 14; 1.331 Å, 2θ = 70.77°, rel. 13; 1.240 Å, 2θ = 76.86°, rel. 23

=====

Starting from a GGA-PBE-relaxed structure, the powder diffractogram of NpSbHPd was computed for Cu Kα, 1.54184 Å.
Intensities are scaled so that the largest is 100.

```
NpSbHPd
1.0
4.5558 0.0000 0.0000
-2.2779 3.9454 0.0000
0.0000 0.0000 3.9498
Np Sb H Pd
1 1 1 1
Direct
0.0000 0.0000 0.0000 Np
0.3333 0.6667 0.5286 Sb
0.6667 0.3333 0.9866 H
0.6667 0.3333 0.4432 Pd
```

Largest 12 diffraction maxima, sorted by position, 15 to 90 degrees two-theta:
3.945 Å, 2θ = 22.54°, rel. 13; 2.791 Å, 2θ = 32.06°, rel. 100; 2.278 Å, 2θ = 39.56°, rel. 51; 1.974 Å, 2θ = 45.96°, rel. 12; 1.765 Å, 2θ = 51.80°, rel. 33; 1.492 Å, 2θ = 62.22°, rel. 25; 1.395 Å, 2θ = 67.09°, rel. 27; 1.315 Å, 2θ = 71.77°, rel. 9; 1.249 Å, 2θ = 76.24°, rel. 8; 1.190 Å, 2θ = 80.75°, rel. 4; 1.139 Å, 2θ = 85.19°, rel. 6; 1.095 Å, 2θ = 89.53°, rel. 16

=====

Starting from a GGA-PBE-relaxed structure, the powder diffractogram of NpH6Pt was computed for Cu Kα, 1.54184 Å.
Intensities are scaled so that the largest is 100.

```
NpH6Pt
1.0
2.2278 1.2862 4.0539
-2.2278 1.2862 4.0539
0.0000 -2.5724 4.0539
Np H Pt
1 6 1
Direct
0.0000 0.0000 0.0000 Np
0.0608 0.5991 0.5991 H
0.4009 0.4009 0.9392 H
0.4009 0.9392 0.4009 H
0.5991 0.0608 0.5991 H
0.5991 0.5991 0.0608 H
0.9392 0.4009 0.4009 H
0.5000 0.5000 0.5000 Pt
```

Largest 12 diffraction maxima, sorted by position, 15 to 90 degrees two-theta:
3.258 Å, 2θ = 27.37°, rel. 100; 2.388 Å, 2θ = 37.67°, rel. 45; 2.228 Å, 2θ = 40.49°, rel. 36; 2.027 Å, 2θ = 44.71°, rel. 9; 1.839 Å, 2θ = 49.57°, rel. 21; 1.629 Å, 2θ = 56.49°, rel. 14; 1.499 Å, 2θ = 61.89°, rel. 22; 1.418 Å, 2θ = 65.86°, rel. 18; 1.414 Å, 2θ = 66.06°, rel. 9; 1.315 Å, 2θ = 71.78°, rel. 14; 1.286 Å, 2θ = 73.65°, rel. 6; 1.194 Å, 2θ = 80.42°, rel. 5

=====

Starting from a GGA-PBE-relaxed structure, the powder diffractogram of NpH8RuPt2 was computed for Cu Kα, 1.54184 Å.
Intensities are scaled so that the largest is 100.

```
NpH8RuPt2
1.0
5.0462 0.0000 0.0000
-2.5231 4.3701 0.0000
0.0000 0.0000 5.3371
Np H Ru Pt
1 8 1 2
Direct
0.0000 0.0000 0.0000 Np
0.1847 0.3694 0.3652 H
0.1847 0.8153 0.3652 H
0.3333 0.6667 0.8286 H
0.3694 0.1847 0.6348 H
0.6306 0.8153 0.3652 H
0.6667 0.3333 0.1714 H
0.8153 0.1847 0.6348 H
0.8153 0.6306 0.6348 H
0.0000 0.0000 0.5000 Ru
0.3333 0.6667 0.1323 Pt
0.6667 0.3333 0.8677 Pt
```

Largest 12 diffraction maxima, sorted by position, 15 to 90 degrees two-theta:
5.337 Å, 2θ = 16.61°, rel. 52; 4.370 Å, 2θ = 20.32°, rel. 14; 3.381 Å, 2θ = 26.36°, rel. 45; 2.523 Å, 2θ = 35.58°, rel. 90; 2.279 Å, 2θ = 39.54°, rel. 100; 1.833 Å, 2θ = 49.73°, rel. 12; 1.691 Å, 2θ = 54.26°, rel. 25; 1.648 Å, 2θ = 55.79°, rel. 12; 1.457 Å, 2θ = 63.91°, rel. 17; 1.405 Å, 2θ = 66.57°, rel. 36; 1.276 Å, 2θ = 74.33°, rel. 12; 1.104 Å, 2θ = 88.63°, rel. 13

=====

Starting from a GGA-PBE-relaxed structure, the powder diffractogram of NpHRh4 was computed for Cu Kα, 1.54184 Å.
Intensities are scaled so that the largest is 100.

```
NpHRh4
1.0
3.7532 -4.7450 0.0000
3.7532 4.7450 0.0000
-1.1772 0.0000 4.6950
Np H Rh
2 2 8
Direct
0.1385 0.8615 0.7500 Np
0.8615 0.1385 0.2500 Np
0.4925 0.5075 0.7500 H
0.5075 0.4925 0.2500 H
0.0670 0.3081 0.8764 Rh
0.2633 0.5189 0.4483 Rh
0.3081 0.0670 0.3764 Rh
0.4811 0.7367 0.0517 Rh
0.5189 0.2633 0.9483 Rh
0.6919 0.9330 0.6236 Rh
0.7367 0.4811 0.5517 Rh
0.9330 0.6919 0.1236 Rh
```

Largest 12 diffraction maxima, sorted by position, 15 to 90 degrees two-theta:
5.777 Å, 2θ = 15.34°, rel. 19; 3.339 Å, 2θ = 26.70°, rel. 21; 2.372 Å, 2θ = 37.93°, rel. 54; 2.336 Å, 2θ = 38.54°, rel. 100; 2.272 Å, 2θ = 39.67°, rel. 97; 1.917 Å, 2θ = 47.42°, rel. 55; 1.491 Å, 2θ = 62.27°, rel. 23; 1.442 Å, 2θ = 64.64°, rel. 12; 1.350 Å, 2θ = 69.67°, rel. 17; 1.309 Å, 2θ = 72.18°, rel. 13; 1.182 Å, 2θ = 81.45°, rel. 11; 1.136 Å, 2θ = 85.46°, rel. 10

=====

Starting from a GGA-PBE-relaxed structure, the powder diffractogram of NpH8Rh4 was computed for Cu Kα, 1.54184 Å.
Intensities are scaled so that the largest is 100.

```
NpH8Rh4
1.0
4.5390 -2.8987 0.0000
4.5390 2.8987 0.0000
-4.3563 0.0000 4.9152
Np H Rh
1 8 4
Direct
0.0000 0.0000 0.0000 Np
0.0832 0.5886 0.3434 H
0.1592 0.1592 0.4484 H
0.4114 0.9168 0.6566 H
0.4211 0.4211 0.1548 H
0.5789 0.5789 0.8452 H
0.5886 0.0832 0.3434 H
0.8408 0.8408 0.5516 H
0.9168 0.4114 0.6566 H
0.0000 0.0000 0.5000 Rh
0.0000 0.5000 0.0000 Rh
0.5000 0.0000 0.0000 Rh
0.5000 0.5000 0.5000 Rh
```

Largest 12 diffraction maxima, sorted by position, 15 to 90 degrees two-theta:
4.915 Å, 2θ = 18.05°, rel. 45; 4.536 Å, 2θ = 19.57°, rel. 32; 4.410 Å, 2θ = 20.14°, rel. 74; 4.340 Å, 2θ = 20.46°, rel. 71; 2.747 Å, 2θ = 32.60°, rel. 22; 2.696 Å, 2θ = 33.23°, rel. 22; 2.458 Å, 2θ = 36.56°, rel. 68; 2.268 Å, 2θ = 39.74°, rel. 53; 2.205 Å, 2θ = 40.93°, rel. 100; 2.170 Å, 2θ = 41.62°, rel. 92; 1.637 Å, 2θ = 56.20°, rel. 22; 1.373 Å, 2θ = 68.29°, rel. 22